For BaCuAsPt, the PBE geometry in Alexandria gives the calculated PXRD pattern in this record (Cu Kα (weighted mean of Kα1 and Kα2)).
Lines closer than 0.1° are merged.

Structural model:
```
data_BaCuAsPt
_cell_length_a 3.913
_cell_length_b 3.913
_cell_length_c 12.039
_cell_angle_alpha 90.00
_cell_angle_beta 90.00
_cell_angle_gamma 90.00
_space_group_name_H-M_alt 'P 4/n m m'
_space_group_IT_number 129
loop_
_space_group_symop_operation_xyz
'x,y,z'
'-x,-y,-z'
'-y+1/2,x,z'
'y+1/2,-x,-z'
'-x+1/2,-y+1/2,z'
'x+1/2,y+1/2,-z'
'y,-x+1/2,z'
'-y,x+1/2,-z'
'x+1/2,-y,-z'
'-x+1/2,y,z'
'-y,-x,-z'
'y,x,z'
'-x,y+1/2,-z'
'x,-y+1/2,z'
'y+1/2,x+1/2,-z'
'-y+1/2,-x+1/2,z'
loop_
_atom_site_label
_atom_site_type_symbol
_atom_site_fract_x
_atom_site_fract_y
_atom_site_fract_z
Ba1 Ba 0.250 0.250 0.220
Cu1 Cu 0.250 0.750 0.500
As1 As 0.250 0.250 0.624
Pt1 Pt 0.250 0.750 0.000
```

Principal peaks in the range 10° ≤ 2θ ≤ 90°, low angle first:
h k l  2θ/deg  I/Imax
0 0 2  14.72  28
1 0 2  27.18  22
0 0 4  29.68  22
1 0 3  31.94  26
1 1 1  33.22  19
1 1 2  35.72  100
1 1 4  44.48  22
2 0 0  46.41  36
1 1 6  56.67  18
3 1 2  79.00  20